# BaMoSeO6
Calculated X-ray diffraction stick pattern, copper Kα. Input: a GGA+U-relaxed structure.
Intensities are scaled so that the largest is 100.

Atomic structure:
```
BaMoSeO6
1.0
6.363 0.000 0.000
0.000 10.350 0.000
-0.705 0.000 8.558
Ba Mo Se O
4 4 4 24
Direct
0.238 0.190 0.011
0.238 0.310 0.511
0.762 0.690 0.489
0.762 0.810 0.989
0.272 0.580 0.228
0.272 0.920 0.728
0.728 0.080 0.272
0.728 0.420 0.772
0.207 0.603 0.823
0.207 0.897 0.323
0.793 0.103 0.677
0.793 0.397 0.177
0.058 0.018 0.226
0.058 0.482 0.726
0.082 0.739 0.739
0.082 0.761 0.239
0.106 0.616 0.002
0.106 0.884 0.502
0.315 0.088 0.692
0.315 0.412 0.192
0.320 0.587 0.437
0.320 0.913 0.937
0.492 0.155 0.328
0.492 0.345 0.828
0.508 0.655 0.172
0.508 0.845 0.672
0.680 0.087 0.063
0.680 0.413 0.563
0.685 0.588 0.808
0.685 0.912 0.308
0.894 0.116 0.498
0.894 0.384 0.998
0.918 0.239 0.761
0.918 0.261 0.261
0.942 0.518 0.274
0.942 0.982 0.774
```

Largest 12 diffraction maxima, in order of falling intensity, 10 to 80 degrees two-theta:
d [Å]	I/Imax	index
3.031	100.0	1 3 0
3.247	96.1	1 1 2
3.705	91.0	1 2 -1
3.171	83.3	2 0 0
3.476	76.3	1 1 -2
3.298	58.4	0 2 2
2.217	38.3	2 2 2
2.750	35.1	0 1 3
1.808	33.7	1 4 3
1.715	25.3	2 5 -1
1.863	23.7	1 4 -3
2.164	23.7	2 1 -3